No. 1
Diffraction record for Ac8PmSm4. The PXRD pattern is calculated, not measured: it uses a DFT-relaxed cell (PBE, Alexandria) and Cu Kα X-rays.
Peak positions follow from Bragg's law for the DFT cell and can differ from measured ones.

Cell and atoms:
```
data_Ac8PmSm4
_space_group_name_H-M_alt 'R -3 m'
_space_group_IT_number 166
_space_group_name_Hall '-R 3 2"'
_cell_length_a 11.8452
_cell_length_b 11.8452
_cell_length_c 14.4784
_cell_angle_alpha 90.00
_cell_angle_beta 90.00
_cell_angle_gamma 120.00
loop_
_atom_site_label
_atom_site_fract_x
_atom_site_fract_y
_atom_site_fract_z
Ac1 0.0000 0.0000 0.2402
Ac2 0.0125 0.5063 0.7465
Pm1 0.0000 0.0000 0.5000
Sm1 0.0000 0.0000 0.0000
Sm2 0.0000 0.5000 0.0000
```

The 10 most intense peaks (5° ≤ 2θ ≤ 70°), sorted by position:
(hkl)  Position (°2θ)  I (rel.)
0 0 3  18.36  8
2 0 2  21.23  19
2 2 0  30.20  100
2 2 3  35.57  4
0 4 2  37.21  6
4 0 4  43.24  19
4 2 2  48.65  8
6 0 0  53.62  30
2 0 8  53.71  10
4 4 0  62.80  12

No. 2
Diffraction record for Cr4Ga6Se15. The PXRD pattern is calculated, not measured: it uses a DFT-relaxed cell (PBE, Alexandria) and Cu Kα X-rays.
Peak positions follow from Bragg's law for the DFT cell and can differ from measured ones.

Cell and atoms:
```
data_Cr4Ga6Se15
_space_group_name_H-M_alt 'C 1 m 1'
_space_group_IT_number 8
_cell_length_a 6.7075
_cell_length_b 11.4926
_cell_length_c 15.9332
_cell_angle_alpha 90.00
_cell_angle_beta 100.35
_cell_angle_gamma 90.00
loop_
_space_group_symop_operation_xyz
'x,y,z'
'x,-y,z'
'x+1/2,y+1/2,z'
'x+1/2,-y+1/2,z'
loop_
_atom_site_label
_atom_site_fract_x
_atom_site_fract_y
_atom_site_fract_z
Cr1 0.0000 0.0000 0.0000
Cr2 0.1050 0.3432 0.3968
Cr3 0.1061 0.0000 0.3959
Ga1 0.1280 0.1693 0.8403
Ga2 0.3627 0.3323 0.1572
Ga3 0.3874 0.1590 0.6352
Se1 0.0557 0.1551 0.6818
Se2 0.0838 0.5000 0.6955
Se3 0.1903 0.1464 0.1173
Se4 0.1977 0.5000 0.0809
Se5 0.2942 0.0000 0.9144
Se6 0.3068 0.1685 0.4779
Se7 0.3066 0.3510 0.8849
Se8 0.3114 0.5000 0.4796
Se9 0.4027 0.0000 0.3141
Se10 0.4028 0.3322 0.3146
```

The 10 most intense peaks (5° ≤ 2θ ≤ 70°), sorted by position:
(hkl)  Position (°2θ)  I (rel.)
0 0 4  22.69  45
1 3 0  26.92  26
1 3 1  28.03  35
0 0 5  28.47  29
2 0 -3  29.30  71
1 3 2  30.22  100
1 3 5  41.40  52
3 3 -1  47.09  82
0 6 0  47.47  43
1 3 -8  52.05  42